Theoretical powder diffractogram
Compound: K2Mg3MoF12
Radiation: Cu Kα (weighted mean of Kα1 and Kα2)
Structure: a cell relaxed with GGA+U

Largest 10 diffraction maxima, in order of rising 2θ, 10 to 80 degrees two-theta:
2θ/deg, I/Imax
14.74, 100
16.83, 75
24.32, 28
27.44, 77
28.20, 78
29.73, 60
36.99, 28
45.26, 30
47.98, 23
49.84, 43

Atomic structure:
Unit cell a=7.594 b=7.594 c=7.594 alpha=57.62 beta=57.62 gamma=57.62
Atoms (fractional coordinates):
K 0.089 0.089 0.089
K 0.911 0.911 0.911
Mg 0.000 0.500 0.500
Mg 0.500 0.000 0.500
Mg 0.500 0.500 0.000
Mo 0.500 0.500 0.500
F 0.178 0.574 0.574
F 0.183 0.183 0.579
F 0.183 0.579 0.183
F 0.421 0.817 0.817
F 0.426 0.426 0.822
F 0.426 0.822 0.426
F 0.574 0.178 0.574
F 0.574 0.574 0.178
F 0.579 0.183 0.183
F 0.817 0.421 0.817
F 0.817 0.817 0.421
F 0.822 0.426 0.426